Record 1
For BaNd6S8, DFT lattice parameters and positions (PBE) gives the calculated XRD peak list in this record (Cu Kα).
Lines closer than 0.1° are merged.

Cell and atoms:
Unit cell a=12.0117 b=12.0117 c=12.7045 alpha=90.00 beta=90.00 gamma=120.00
Space group R-3 (No. 148, hexagonal axes)
Inequivalent atoms, fractional coordinates:
1 Ba 0.0000 0.0000 0.0000 x3
2 Nd 0.0098 0.8165 0.6278 x18
3 S 0.0000 0.0000 0.2405 x6
4 S 0.0108 0.7475 0.4166 x18

Main lines, by angle (2θ = 10–90°):
2theta, d_spacing, I (rel.), index
10.99, 8.049, 567, 1 0 1
20.98, 4.235, 361, 0 0 3
23.69, 3.756, 1000, 3 -1 1
26.66, 3.343, 458, 1 2 2
34.13, 2.627, 230, 3 1 2
36.37, 2.470, 481, 3 -1 4
36.69, 2.450, 238, 2 2 3
39.71, 2.270, 289, 4 1 0
42.34, 2.134, 205, 3 -2 5
45.33, 2.001, 175, 5 -4 3

Record 2
For Pr12Ho2Tl, DFT lattice parameters and positions (PBE) gives the calculated XRD peak list in this record (Cu Kα).
Lines closer than 0.1° are merged.

Cell and atoms:
Unit cell a=6.7788 b=6.7788 c=24.1067 alpha=90.00 beta=90.00 gamma=90.00
Space group P4/nbm (No. 125, origin choice 2)
Inequivalent atoms, fractional coordinates:
1 Pr 0.0049 0.5049 0.0929 x8
2 Pr 0.0834 0.5834 0.5656 x8
3 Pr 0.2500 0.2500 0.2000 x4
4 Pr 0.2500 0.2500 0.3272 x4
5 Ho 0.2500 0.7500 0.2483 x4
6 Tl 0.2500 0.7500 0.0000 x2

Main lines, by angle (2θ = 10–90°):
2theta, d_spacing, I (rel.), index
19.93, 4.454, 323, 1 1 2
23.72, 3.751, 453, 1 1 4
27.33, 3.263, 1000, 2 0 2
29.00, 3.079, 359, 1 1 6
30.25, 2.954, 756, 2 0 4
32.29, 2.773, 401, 2 0 5
34.62, 2.591, 610, 2 0 6
35.18, 2.551, 402, 1 1 8
37.53, 2.397, 807, 2 2 0
52.38, 1.747, 593, 3 1 8